Simulated PXRD pattern
Compound: KBaP
Radiation: Cu Kα, 1.54184 Å
Structure: a PBE-relaxed structure
Intensities are scaled so that the largest is 100.

Structure:
a b c (Å): 5.001 5.001 6.174
angles (deg): 90.00 90.00 120.00
Positions (direct):
K1 0.000 0.000 0.000
Ba1 0.333 0.667 0.448
P1 0.667 0.333 0.255

Peak list (10 most intense, 2θ = 10–90°, by intensity)
25.1°, intensity 100; 35.9°, intensity 34; 35.7°, intensity 33; 14.3°, intensity 33; 20.5°, intensity 30; 44.3°, intensity 21; 58.3°, intensity 18; 49.0°, intensity 17; 38.9°, intensity 17; 46.8°, intensity 15


Simulated PXRD pattern
Compound: Ce3HgAu5
Radiation: Cu Kα, 1.54184 Å
Structure: a PBE-relaxed structure
Intensities are scaled so that the largest is 100.

Structure:
a b c (Å): 8.892 8.892 6.239
angles (deg): 90.00 90.00 120.00
Positions (direct):
Ce1 0.000 0.349 0.250
Ce2 0.000 0.651 0.750
Ce3 0.349 0.000 0.250
Ce4 0.349 0.349 0.750
Ce5 0.651 0.000 0.750
Ce6 0.651 0.651 0.250
Hg1 0.000 0.000 0.000
Hg2 0.000 0.000 0.500
Au1 0.000 0.319 0.750
Au2 0.000 0.681 0.250
Au3 0.319 0.000 0.750
Au4 0.319 0.319 0.250
Au5 0.333 0.667 0.000
Au6 0.333 0.667 0.500
Au7 0.667 0.333 0.000
Au8 0.667 0.333 0.500
Au9 0.681 0.000 0.250
Au10 0.681 0.681 0.750

Peak list (10 most intense, 2θ = 10–90°, by intensity)
35.0°, intensity 100; 35.1°, intensity 95; 62.8°, intensity 34; 50.4°, intensity 34; 70.7°, intensity 26; 62.7°, intensity 18; 84.5°, intensity 15; 73.8°, intensity 11; 59.2°, intensity 8; 45.8°, intensity 6


Simulated PXRD pattern
Compound: CsCaTbCl6
Radiation: Cu Kα, 1.54184 Å
Structure: a PBE-relaxed structure
Intensities are scaled so that the largest is 100.

Structure:
a b c (Å): 7.169 7.169 7.624
angles (deg): 90.00 90.00 120.00
Positions (direct):
Cs1 0.000 0.000 0.000
Ca1 0.333 0.667 0.500
Tb1 0.667 0.333 0.500
Cl1 0.385 0.009 0.701
Cl2 0.385 0.376 0.299
Cl3 0.624 0.009 0.299
Cl4 0.624 0.615 0.701
Cl5 0.991 0.376 0.701
Cl6 0.991 0.615 0.299

Peak list (10 most intense, 2θ = 10–90°, by intensity)
18.4°, intensity 100; 34.3°, intensity 55; 40.2°, intensity 27; 27.5°, intensity 23; 43.7°, intensity 23; 31.1°, intensity 21; 24.8°, intensity 18; 14.3°, intensity 14; 11.6°, intensity 14; 38.3°, intensity 14


Simulated PXRD pattern
Compound: BaPaTl2Cl8
Radiation: Cu Kα, 1.54184 Å
Structure: a PBE-relaxed structure
Intensities are scaled so that the largest is 100.

Structure:
a b c (Å): 6.038 9.372 7.893
angles (deg): 90.00 104.70 90.00
Positions (direct):
Ba1 0.000 0.000 0.000
Pa1 0.000 0.500 0.000
Tl1 0.500 0.244 0.500
Tl2 0.500 0.756 0.500
Cl1 0.061 0.285 0.789
Cl2 0.061 0.715 0.789
Cl3 0.420 0.500 0.197
Cl4 0.483 0.000 0.242
Cl5 0.517 0.000 0.758
Cl6 0.580 0.500 0.803
Cl7 0.939 0.285 0.211
Cl8 0.939 0.715 0.211

Peak list (10 most intense, 2θ = 10–90°, by intensity)
22.3°, intensity 100; 16.6°, intensity 99; 31.1°, intensity 83; 21.4°, intensity 59; 36.6°, intensity 44; 30.6°, intensity 38; 24.4°, intensity 34; 35.6°, intensity 32; 42.1°, intensity 28; 50.8°, intensity 27


Simulated PXRD pattern
Compound: Nd4TlPb3
Radiation: Cu Kα, 1.54184 Å
Structure: a PBE-relaxed structure
Intensities are scaled so that the largest is 100.

Structure:
a b c (Å): 8.134 8.134 5.888
angles (deg): 110.94 110.94 42.44
Positions (direct):
Nd1 0.127 0.127 0.127
Nd2 0.373 0.373 0.373
Nd3 0.627 0.627 0.627
Nd4 0.873 0.873 0.873
Tl1 0.000 0.000 0.500
Pb1 0.247 0.247 0.747
Pb2 0.500 0.500 0.000
Pb3 0.753 0.753 0.253

Peak list (10 most intense, 2θ = 10–90°, by intensity)
30.4°, intensity 100; 33.4°, intensity 78; 33.5°, intensity 77; 43.5°, intensity 38; 55.8°, intensity 37; 56.0°, intensity 36; 71.7°, intensity 18; 61.6°, intensity 14; 63.2°, intensity 13; 52.2°, intensity 11


Simulated PXRD pattern
Compound: ZnNi4Pt
Radiation: Cu Kα, 1.54184 Å
Structure: a PBE-relaxed structure
Intensities are scaled so that the largest is 100.

Structure:
a b c (Å): 5.763 5.763 3.646
angles (deg): 90.00 90.00 142.86
Positions (direct):
Zn1 0.000 0.000 0.000
Ni1 0.174 0.826 0.500
Ni2 0.326 0.674 0.000
Ni3 0.674 0.326 0.000
Ni4 0.826 0.174 0.500
Pt1 0.500 0.500 0.500

Peak list (10 most intense, 2θ = 10–90°, by intensity)
42.9°, intensity 100; 50.1°, intensity 31; 89.0°, intensity 22; 73.2°, intensity 19; 49.7°, intensity 16; 35.7°, intensity 13; 16.2°, intensity 12; 88.5°, intensity 12; 25.6°, intensity 10; 73.5°, intensity 9


Simulated PXRD pattern
Compound: Na2InTcPt
Radiation: Cu Kα, 1.54184 Å
Structure: a PBE-relaxed structure
Intensities are scaled so that the largest is 100.

Structure:
a b c (Å): 5.258 5.258 4.890
angles (deg): 90.00 90.00 90.00
Positions (direct):
Na1 0.000 0.500 0.000
Na2 0.500 0.000 0.000
In1 0.000 0.000 0.500
Tc1 0.500 0.500 0.500
Pt1 0.500 0.500 0.000

Peak list (10 most intense, 2θ = 10–90°, by intensity)
23.9°, intensity 100; 34.1°, intensity 66; 24.9°, intensity 60; 16.9°, intensity 54; 51.0°, intensity 41; 44.3°, intensity 39; 42.7°, intensity 29; 36.8°, intensity 27; 49.0°, intensity 23; 68.2°, intensity 22


Simulated PXRD pattern
Compound: TbCe3Sm2As6
Radiation: Cu Kα, 1.54184 Å
Structure: a PBE-relaxed structure
Intensities are scaled so that the largest is 100.

Structure:
a b c (Å): 7.281 7.281 7.275
angles (deg): 99.60 99.60 120.00
Positions (direct):
Tb1 0.000 0.000 0.000
Ce1 0.167 0.833 0.500
Ce2 0.500 0.500 0.500
Ce3 0.833 0.167 0.500
Sm1 0.334 0.666 0.000
Sm2 0.666 0.334 0.000
As1 0.083 0.414 0.250
As2 0.247 0.247 0.749
As3 0.414 0.083 0.250
As4 0.586 0.917 0.750
As5 0.753 0.753 0.251
As6 0.917 0.586 0.750

Peak list (10 most intense, 2θ = 10–90°, by intensity)
30.1°, intensity 100; 43.1°, intensity 75; 70.9°, intensity 34; 53.4°, intensity 26; 78.9°, intensity 25; 26.0°, intensity 18; 62.5°, intensity 12; 51.0°, intensity 9; 84.8°, intensity 3; 68.9°, intensity 3


Simulated PXRD pattern
Compound: KHg3Pd
Radiation: Cu Kα, 1.54184 Å
Structure: a PBE-relaxed structure
Intensities are scaled so that the largest is 100.

Structure:
a b c (Å): 4.247 6.984 9.104
angles (deg): 90.00 103.43 90.00
Positions (direct):
K1 0.008 0.250 0.015
K2 0.992 0.750 0.985
Hg1 0.213 0.250 0.427
Hg2 0.368 0.004 0.737
Hg3 0.368 0.496 0.737
Hg4 0.632 0.504 0.263
Hg5 0.632 0.996 0.263
Hg6 0.787 0.750 0.573
Pd1 0.180 0.750 0.359
Pd2 0.820 0.250 0.641

Peak list (10 most intense, 2θ = 10–90°, by intensity)
36.6°, intensity 100; 33.6°, intensity 79; 32.9°, intensity 79; 32.7°, intensity 75; 41.5°, intensity 37; 42.6°, intensity 36; 54.7°, intensity 35; 20.1°, intensity 27; 63.3°, intensity 22; 48.7°, intensity 21